Diffraction record for RbErP2Se7. The XRD peak list is calculated, not measured: it uses a crystal structure in OQMD, relaxed with PBE and CuKα.
Peak positions follow from Bragg's law for the DFT cell and can differ from measured ones.

Peak list (10 most intense, 2θ = 10–90°, in order of rising 2θ)
- 2θ 12.5, 7.064 Å, intensity 42.9, hkl 1 1 0
- 2θ 13.0, 6.816 Å, intensity 56.7, hkl 0 0 1
- 2θ 21.0, 4.231 Å, intensity 38.1, hkl 0 2 1
- 2θ 25.2, 3.532 Å, intensity 66.8, hkl 2 2 0
- 2θ 28.9, 3.085 Å, intensity 38.1, hkl 1 3 -1
- 2θ 29.8, 2.999 Å, intensity 80.6, hkl 2 0 -2
- 2θ 29.9, 2.986 Å, intensity 100.0, hkl 2 2 1
- 2θ 30.4, 2.943 Å, intensity 41.4, hkl 1 3 1
- 2θ 41.9, 2.156 Å, intensity 34.9, hkl 2 4 1
- 2θ 42.2, 2.141 Å, intensity 36.5, hkl 4 2 -1

abc: 9.474 10.792 6.912
angles: 90.00 99.56 90.00
Space group C2 (No. 5)
Unique sites:
Rb 0.000 0.000 0.000
Er 0.000 0.602 0.500
P 0.197 0.250 0.592
Se 0.000 0.120 0.500
Se 0.140 0.413 0.756
Se 0.168 0.627 0.199
Se 0.208 0.778 0.675

---

Diffraction record for YEr2Tm4Ni2Se2. The XRD peak list is calculated, not measured: it uses a crystal structure in OQMD, relaxed with PBE and CuKα.
Peak positions follow from Bragg's law for the DFT cell and can differ from measured ones.

Peak list (10 most intense, 2θ = 10–90°, in order of rising 2θ)
- 2θ 25.5, 3.492 Å, intensity 25.5, hkl 1 0 1
- 2θ 29.7, 3.009 Å, intensity 46.1, hkl 0 1 3
- 2θ 31.2, 2.866 Å, intensity 53.0, hkl 1 1 2
- 2θ 31.5, 2.842 Å, intensity 26.1, hkl 0 5 1
- 2θ 34.3, 2.616 Å, intensity 70.5, hkl 0 3 3
- 2θ 35.2, 2.551 Å, intensity 100.0, hkl 1 4 1
- 2θ 35.6, 2.519 Å, intensity 61.4, hkl 1 3 2
- 2θ 48.2, 1.886 Å, intensity 29.0, hkl 2 0 0
- 2θ 53.2, 1.723 Å, intensity 21.1, hkl 1 7 2
- 2θ 60.5, 1.530 Å, intensity 27.6, hkl 2 3 3

abc: 3.772 14.940 9.223
angles: 90.00 90.00 90.00
Space group Imm2 (No. 44)
Unique sites:
Y 0.000 0.000 0.000
Er 0.000 0.358 0.260
Tm 0.000 0.126 0.414
Tm 0.000 0.317 0.619
Ni 0.000 0.239 0.925
Se 0.000 0.000 0.659
Se 0.000 0.500 0.760

---

Diffraction record for FePH12C4Br4. The XRD peak list is calculated, not measured: it uses a crystal structure in OQMD, relaxed with PBE and CuKα.
Peak positions follow from Bragg's law for the DFT cell and can differ from measured ones.

Peak list (10 most intense, 2θ = 10–90°, in order of rising 2θ)
- 2θ 13.7, 6.468 Å, intensity 77.1, hkl 1 1 1
- 2θ 15.8, 5.601 Å, intensity 34.1, hkl 2 0 0
- 2θ 22.4, 3.961 Å, intensity 16.2, hkl 2 2 0
- 2θ 26.4, 3.378 Å, intensity 35.5, hkl 3 1 1
- 2θ 27.6, 3.234 Å, intensity 100.0, hkl 2 2 2
- 2θ 32.0, 2.801 Å, intensity 25.7, hkl 4 0 0
- 2θ 34.9, 2.570 Å, intensity 30.0, hkl 3 3 1
- 2θ 45.8, 1.980 Å, intensity 45.5, hkl 4 4 0
- 2θ 48.0, 1.894 Å, intensity 28.6, hkl 5 3 1
- 2θ 54.3, 1.689 Å, intensity 34.5, hkl 6 2 2

abc: 11.203 11.203 11.203
angles: 90.00 90.00 90.00
Space group F-43m (No. 216)
Unique sites:
Fe 0.000 0.000 0.000
P 0.000 0.000 0.500
H 0.035 0.149 0.649
C 0.092 0.092 0.592
Br 0.121 0.121 0.121

---

Diffraction record for TmZnCuTe3. The XRD peak list is calculated, not measured: it uses a crystal structure in OQMD, relaxed with PBE and CuKα.
Peak positions follow from Bragg's law for the DFT cell and can differ from measured ones.

Peak list (10 most intense, 2θ = 10–90°, in order of rising 2θ)
- 2θ 12.6, 7.001 Å, intensity 16.0, hkl 0 2 0
- 2θ 27.4, 3.255 Å, intensity 37.3, hkl 0 2 3
- 2θ 29.5, 3.028 Å, intensity 22.1, hkl 1 3 0
- 2θ 30.6, 2.920 Å, intensity 33.8, hkl 1 3 1
- 2θ 32.5, 2.758 Å, intensity 14.9, hkl 0 0 4
- 2θ 33.8, 2.654 Å, intensity 100.0, hkl 1 3 2
- 2θ 40.3, 2.239 Å, intensity 22.6, hkl 1 1 4
- 2θ 42.0, 2.149 Å, intensity 17.1, hkl 0 6 2
- 2θ 42.8, 2.115 Å, intensity 20.0, hkl 1 5 2
- 2θ 45.6, 1.989 Å, intensity 21.7, hkl 2 0 0

abc: 3.978 14.002 11.032
angles: 90.00 90.00 90.00
Space group Cmcm (No. 63)
Unique sites:
Tm 0.000 0.000 0.000
Zn 0.000 0.229 0.250
Cu 0.000 0.477 0.750
Te 0.000 0.104 0.750
Te 0.000 0.350 0.576

---

Diffraction record for PmGdRe. The XRD peak list is calculated, not measured: it uses a crystal structure in OQMD, relaxed with PBE and CuKα.
Peak positions follow from Bragg's law for the DFT cell and can differ from measured ones.

Peak list (10 most intense, 2θ = 10–90°, in order of rising 2θ)
- 2θ 22.6, 3.936 Å, intensity 25.9, hkl 1 1 1
- 2θ 26.1, 3.409 Å, intensity 16.5, hkl 2 0 0
- 2θ 37.3, 2.410 Å, intensity 100.0, hkl 2 2 0
- 2θ 44.1, 2.055 Å, intensity 13.5, hkl 3 1 1
- 2θ 46.1, 1.968 Å, intensity 4.8, hkl 2 2 2
- 2θ 53.8, 1.704 Å, intensity 17.6, hkl 4 0 0
- 2θ 59.1, 1.564 Å, intensity 5.7, hkl 3 3 1
- 2θ 60.8, 1.524 Å, intensity 6.4, hkl 4 2 0
- 2θ 67.3, 1.392 Å, intensity 35.8, hkl 4 2 2
- 2θ 79.5, 1.205 Å, intensity 11.3, hkl 4 4 0

abc: 6.817 6.817 6.817
angles: 90.00 90.00 90.00
Space group F-43m (No. 216)
Unique sites:
Pm 0.000 0.000 0.000
Gd 0.250 0.250 0.250
Re 0.000 0.000 0.500

---

Diffraction record for Ag15Hg. The XRD peak list is calculated, not measured: it uses a crystal structure in OQMD, relaxed with PBE and CuKα.
Peak positions follow from Bragg's law for the DFT cell and can differ from measured ones.

Peak list (10 most intense, 2θ = 10–90°, in order of rising 2θ)
- 2θ 35.6, 2.521 Å, intensity 10.4, hkl 1 1 8
- 2θ 36.8, 2.445 Å, intensity 30.2, hkl 1 1 9
- 2θ 38.0, 2.368 Å, intensity 100.0, hkl 1 1 10
- 2θ 41.4, 2.180 Å, intensity 13.8, hkl 0 0 19
- 2θ 44.4, 2.041 Å, intensity 40.9, hkl 2 0 0
- 2θ 64.1, 1.453 Å, intensity 10.9, hkl 2 0 20
- 2θ 64.6, 1.443 Å, intensity 12.7, hkl 2 2 0
- 2θ 74.1, 1.280 Å, intensity 13.5, hkl 1 1 29
- 2θ 77.5, 1.232 Å, intensity 11.6, hkl 1 3 10
- 2θ 77.5, 1.232 Å, intensity 11.5, hkl 3 1 10

abc: 4.081 4.082 41.413
angles: 90.00 90.00 90.00
Space group Pmma (No. 51)
Unique sites:
Ag 0.250 0.000 0.025
Ag 0.250 0.000 0.128
Ag 0.250 0.000 0.230
Ag 0.250 0.000 0.333
Ag 0.250 0.000 0.719
Ag 0.250 0.000 0.821
Ag 0.250 0.000 0.923
Ag 0.250 0.500 0.077
Ag 0.250 0.500 0.179
Ag 0.250 0.500 0.282
Ag 0.250 0.500 0.384
Ag 0.250 0.500 0.667
Ag 0.250 0.500 0.770
Ag 0.250 0.500 0.872
Ag 0.250 0.500 0.974
Hg 0.250 0.000 0.609

---

Diffraction record for Nb3TlP5. The XRD peak list is calculated, not measured: it uses a crystal structure in OQMD, relaxed with PBE and CuKα.
Peak positions follow from Bragg's law for the DFT cell and can differ from measured ones.

Peak list (10 most intense, 2θ = 10–90°, in order of rising 2θ)
- 2θ 23.3, 3.824 Å, intensity 100.0, hkl 1 0 1
- 2θ 30.1, 2.972 Å, intensity 30.8, hkl 0 0 2
- 2θ 31.0, 2.884 Å, intensity 29.6, hkl 1 1 0
- 2θ 34.6, 2.595 Å, intensity 66.5, hkl 1 1 1
- 2θ 36.0, 2.497 Å, intensity 61.8, hkl 2 0 0
- 2θ 47.6, 1.912 Å, intensity 82.1, hkl 2 0 2
- 2θ 49.5, 1.842 Å, intensity 25.1, hkl 1 0 3
- 2θ 50.7, 1.799 Å, intensity 26.0, hkl 2 1 1
- 2θ 64.6, 1.442 Å, intensity 21.2, hkl 2 2 0
- 2θ 74.3, 1.277 Å, intensity 19.6, hkl 2 0 4

abc: 5.7677 5.7677 5.9448
angles: 90.00 90.00 120.00
Space group P6/mmm (No. 191)
Unique sites:
Nb 0.0000 0.5000 0.0000
Tl 0.0000 0.0000 0.5000
P 0.0000 0.0000 0.0000
P 0.3333 0.6667 0.3205

---

Diffraction record for Ba5Cd2Sb5F. The XRD peak list is calculated, not measured: it uses a crystal structure in OQMD, relaxed with PBE and CuKα.
Peak positions follow from Bragg's law for the DFT cell and can differ from measured ones.

Peak list (10 most intense, 2θ = 10–90°, in order of rising 2θ)
- 2θ 25.6, 3.486 Å, intensity 26.4, hkl 0 6 2
- 2θ 26.2, 3.408 Å, intensity 38.4, hkl 1 5 0
- 2θ 27.4, 3.256 Å, intensity 40.9, hkl 1 3 3
- 2θ 28.6, 3.119 Å, intensity 96.8, hkl 1 5 2
- 2θ 29.5, 3.031 Å, intensity 100.0, hkl 1 1 4
- 2θ 31.4, 2.845 Å, intensity 35.1, hkl 1 5 3
- 2θ 34.3, 2.614 Å, intensity 31.9, hkl 1 7 2
- 2θ 36.2, 2.484 Å, intensity 60.1, hkl 2 0 0
- 2θ 41.0, 2.201 Å, intensity 22.7, hkl 1 3 6
- 2θ 46.8, 1.941 Å, intensity 22.5, hkl 0 0 8

abc: 4.968 23.414 15.515
angles: 90.00 90.00 90.00
Space group Cmcm (No. 63)
Unique sites:
Ba 0.000 0.000 0.000
Ba 0.000 0.095 0.250
Ba 0.000 0.101 0.750
Ba 0.000 0.275 0.618
Cd 0.000 0.366 0.089
Sb 0.000 0.149 0.010
Sb 0.000 0.292 0.250
Sb 0.000 0.490 0.158
F 0.000 0.350 0.750